Starting from a DFT-relaxed cell (PBE+U, Alexandria), the powder X-ray diffraction pattern of FeCl2F was simulated for Cu Kα.
Neutral-atom scattering factors, no anomalous dispersion.

Largest 6 diffraction maxima, low angle first, 5° ≤ 2θ ≤ 70°:
2θ (°)	Rel. int.
17.0	51
18.7	100
28.7	61
33.1	36
35.7	54
46.1	50

Cell and atoms:
```
data_FeCl2F
_chemical_formula_sum 'Fe4 Cl8 F4'
_symmetry_space_group_name_H-M 'P 1'
_symmetry_Int_Tables_number 1
_cell_length_a 6.213
_cell_length_b 5.480
_cell_length_c 9.524
_cell_angle_alpha 90.00
_cell_angle_beta 90.00
_cell_angle_gamma 90.00
loop_
_symmetry_equiv_pos_as_xyz
'x,y,z'
loop_
_atom_site_label
_atom_site_fract_x
_atom_site_fract_y
_atom_site_fract_z
Fe1 0.250 0.000 0.104
Fe2 0.250 0.500 0.396
Fe3 0.750 0.000 0.896
Fe4 0.750 0.500 0.604
Cl1 0.075 0.235 0.923
Cl2 0.075 0.265 0.577
Cl3 0.425 0.735 0.577
Cl4 0.425 0.765 0.923
Cl5 0.575 0.235 0.077
Cl6 0.575 0.265 0.423
Cl7 0.925 0.735 0.423
Cl8 0.925 0.765 0.077
F1 0.171 0.250 0.250
F2 0.329 0.750 0.250
F3 0.671 0.250 0.750
F4 0.829 0.750 0.750
```


Starting from a DFT-relaxed cell (PBE+U, Alexandria), the powder X-ray diffraction pattern of Rb3Fe2Cl3F4 was simulated for Cu Kα.
Neutral-atom scattering factors, no anomalous dispersion.

Largest 6 diffraction maxima, low angle first, 5° ≤ 2θ ≤ 70°:
2θ (°)	Rel. int.
25.1	76
27.9	100
28.0	92
35.5	70
36.0	61
45.8	47

Cell and atoms:
```
data_Rb3Fe2Cl3F4
_chemical_formula_sum 'Rb3 Fe2 Cl3 F4'
_symmetry_space_group_name_H-M 'P 1'
_symmetry_Int_Tables_number 1
_cell_length_a 12.906
_cell_length_b 12.906
_cell_length_c 4.143
_cell_angle_alpha 99.22
_cell_angle_beta 99.22
_cell_angle_gamma 22.57
loop_
_symmetry_equiv_pos_as_xyz
'x,y,z'
loop_
_atom_site_label
_atom_site_fract_x
_atom_site_fract_y
_atom_site_fract_z
Rb1 0.000 0.000 0.000
Rb2 0.197 0.197 0.196
Rb3 0.803 0.803 0.804
Fe1 0.391 0.391 0.392
Fe2 0.609 0.609 0.608
Cl1 0.102 0.102 0.603
Cl2 0.500 0.500 0.500
Cl3 0.898 0.898 0.397
F1 0.307 0.307 0.309
F2 0.391 0.391 0.892
F3 0.609 0.609 0.108
F4 0.693 0.693 0.691
```